Computed powder XRD pattern of Li6Fe3Co5O16 for λ = 1.5418 Å (Cu Kα), from a cell relaxed with GGA+U.
No peak broadening, texture or thermal motion is included.

Top 10 peaks for 2θ from 10° to 90°, by intensity:
| (hkl) | Position (°2θ) | intensity |
| --- | --- | --- |
| 1 0 1 | 18.27 | 100 |
| 1 1 5 | 44.67 | 37 |
| 0 1 4 | 37.07 | 28 |
| 2 0 -6 | 43.79 | 19 |
| 0 2 0 | 65.61 | 15 |
| 1 0 -7 | 36.82 | 10 |
| 3 1 -1 | 63.06 | 10 |
| 2 1 6 | 58.42 | 9 |
| 2 2 -6 | 82.21 | 8 |
| 1 1 -3 | 38.40 | 7 |

Crystal structure
```
Li6Fe3Co5O16
1.0
5.1701 0.0000 0.0000
0.0000 2.8461 0.0000
-1.5996 0.0000 18.5251
Li Fe Co O
6 3 5 16
Cartesian
0.0000 0.0000 0.0000
-0.6300 1.4230 15.8091
0.3687 0.0000 13.3020
1.6952 0.0000 9.3835
2.6899 1.4230 6.8604
3.7086 0.0000 4.2772
1.8362 0.0000 2.1780
1.0365 1.4230 18.3149
1.9277 0.0000 15.9683
-0.7560 1.4230 9.0599
0.1401 0.0000 6.7923
1.0228 1.4230 4.5131
2.8221 1.4230 13.6611
3.6146 0.0000 11.3588
-0.8646 1.4230 12.4585
0.3777 0.0000 3.4576
-0.1401 0.0000 10.1397
1.1463 1.4230 0.9977
0.8134 1.4230 7.9176
0.3082 0.0000 17.1643
1.6983 0.0000 5.6214
1.2444 1.4230 14.8207
2.5187 1.4230 3.3286
2.1977 0.0000 12.5844
3.3349 0.0000 0.8755
2.9250 1.4230 10.2637
2.5974 1.4230 17.1535
3.7499 0.0000 7.9162
3.4970 0.0000 14.8140
4.6601 1.4230 5.6538
```